This entry pairs a crystal structure of Pm4Dy3Ge4 with its theoretical powder diffractogram. Radiation: Cu Ka. Structure: DFT lattice parameters and positions (PBE).
Neutral-atom scattering factors, no anomalous dispersion.

Atomic structure:
Cell: 9.976 9.976 9.976 Å, 158.40 127.38 57.53°
Fractional positions:
Pm1 0.005 0.830 0.175
Pm2 0.344 0.170 0.175
Pm3 0.656 0.830 0.825
Pm4 0.995 0.170 0.825
Dy1 0.000 0.500 0.500
Dy2 0.406 0.406 0.000
Dy3 0.594 0.594 0.000
Ge1 0.276 0.000 0.276
Ge2 0.278 0.778 0.500
Ge3 0.722 0.222 0.500
Ge4 0.724 0.000 0.724

The 10 most intense peaks (2θ = 5–70°), sorted by position:
2theta  I (rel.)
27.4  34
28.4  50
31.8  100
33.1  74
34.1  75
35.1  44
36.9  32
48.7  28
50.3  43
60.8  28



This entry pairs a crystal structure of PrHoCuRh with its theoretical powder diffractogram. Radiation: Cu Ka. Structure: DFT lattice parameters and positions (PBE).
Neutral-atom scattering factors, no anomalous dispersion.

Atomic structure:
Cell: 4.422 3.860 10.585 Å, 90.00 90.00 90.00°
Fractional positions:
Pr1 0.000 0.000 0.000
Pr2 0.000 0.500 0.500
Ho1 0.500 0.000 0.723
Ho2 0.500 0.500 0.223
Cu1 0.500 0.000 0.429
Cu2 0.500 0.500 0.929
Rh1 0.000 0.000 0.274
Rh2 0.000 0.500 0.774

The 10 most intense peaks (2θ = 5–70°), sorted by position:
2theta  I (rel.)
26.3  19
31.9  100
33.9  27
34.4  31
39.7  18
40.2  56
40.8  29
47.1  19
54.4  17
64.0  15



This entry pairs a crystal structure of LaGa3Sn3 with its theoretical powder diffractogram. Radiation: Cu Ka. Structure: DFT lattice parameters and positions (PBE).
Neutral-atom scattering factors, no anomalous dispersion.

Atomic structure:
Cell: 7.509 7.509 7.509 Å, 90.00 90.00 90.00°
Fractional positions:
La1 0.000 0.000 0.000
La2 0.500 0.500 0.500
Ga1 0.000 0.250 0.500
Ga2 0.000 0.750 0.500
Ga3 0.250 0.500 0.000
Ga4 0.500 0.000 0.250
Ga5 0.500 0.000 0.750
Ga6 0.750 0.500 0.000
Sn1 0.000 0.500 0.250
Sn2 0.000 0.500 0.750
Sn3 0.250 0.000 0.500
Sn4 0.500 0.250 0.000
Sn5 0.500 0.750 0.000
Sn6 0.750 0.000 0.500

The 10 most intense peaks (2θ = 5–70°), sorted by position:
2theta  I (rel.)
16.7  6
23.7  42
26.5  10
29.1  100
41.7  23
45.2  61
48.5  29
54.7  17
57.6  15
68.4  18



This entry pairs a crystal structure of ScFeTc2Ni with its theoretical powder diffractogram. Radiation: Cu Ka. Structure: DFT lattice parameters and positions (PBE).
Neutral-atom scattering factors, no anomalous dispersion.

Atomic structure:
Cell: 4.491 4.491 4.308 Å, 90.00 90.00 90.00°
Fractional positions:
Sc1 0.000 0.000 0.000
Fe1 0.500 0.500 0.000
Tc1 0.000 0.500 0.500
Tc2 0.500 0.000 0.500
Ni1 0.500 0.500 0.500

The 10 most intense peaks (2θ = 5–70°), sorted by position:
2theta  I (rel.)
19.8  24
20.6  45
35.1  100
40.2  81
41.9  36
45.6  22
58.1  26
59.5  48
62.3  9
69.7  25



This entry pairs a crystal structure of La12Tb5Pr with its theoretical powder diffractogram. Radiation: Cu Ka. Structure: DFT lattice parameters and positions (PBE).
Neutral-atom scattering factors, no anomalous dispersion.

Atomic structure:
Cell: 11.043 11.043 6.398 Å, 106.54 106.54 59.68°
Fractional positions:
La1 0.003 0.663 0.166
La2 0.162 0.504 0.665
La3 0.168 0.832 0.000
La4 0.328 0.672 0.500
La5 0.337 0.997 0.834
La6 0.496 0.838 0.335
La7 0.504 0.162 0.665
La8 0.663 0.003 0.166
La9 0.672 0.328 0.500
La10 0.832 0.168 0.000
La11 0.838 0.496 0.335
La12 0.997 0.337 0.834
Tb1 0.000 0.000 0.500
Tb2 0.167 0.167 0.334
Tb3 0.333 0.333 0.168
Tb4 0.667 0.667 0.832
Tb5 0.833 0.833 0.666
Pr1 0.500 0.500 0.000

The 10 most intense peaks (2θ = 5–70°), sorted by position:
2theta  I (rel.)
29.6  100
29.8  99
34.2  34
34.5  67
49.4  48
58.5  15
58.6  15
58.8  14
58.9  14
59.0  28



This entry pairs a crystal structure of Ba2Tc3RuO12 with its theoretical powder diffractogram. Radiation: Cu Ka. Structure: DFT lattice parameters and positions (PBE).
Neutral-atom scattering factors, no anomalous dispersion.

Atomic structure:
Cell: 7.229 7.229 7.229 Å, 61.06 61.06 61.06°
Fractional positions:
Ba1 0.171 0.171 0.171
Ba2 0.829 0.829 0.829
Tc1 0.000 0.500 0.500
Tc2 0.500 0.000 0.500
Tc3 0.500 0.500 0.000
Ru1 0.500 0.500 0.500
O1 0.181 0.181 0.554
O2 0.181 0.554 0.181
O3 0.182 0.566 0.566
O4 0.434 0.434 0.818
O5 0.434 0.818 0.434
O6 0.446 0.819 0.819
O7 0.554 0.181 0.181
O8 0.566 0.182 0.566
O9 0.566 0.566 0.182
O10 0.818 0.434 0.434
O11 0.819 0.446 0.819
O12 0.819 0.819 0.446

The 10 most intense peaks (2θ = 5–70°), sorted by position:
2theta  I (rel.)
14.8  21
17.2  17
24.2  19
28.5  25
28.7  100
30.5  26
45.5  31
49.6  26
53.1  17
59.4  24